Structure and simulated powder X-ray diffraction pattern of TaTi4Pd (DFT lattice parameters and positions (PBE); Cu Kα (λ = 1.5418 Å)).
Intensities are scaled so that the largest is 100.

Crystal structure
Lattice parameters (Å, degrees): 2.735 4.582 7.926 90.00 90.01 90.00
Fractional positions:
Ta 0.000 0.000 0.000
Ti 0.496 0.500 0.831
Ti 0.499 0.000 0.337
Ti 0.501 0.000 0.663
Ti 0.504 0.500 0.169
Pd 0.000 0.500 0.500

The 10 most intense peaks (2θ from 10° to 90°), in order of rising 2θ:
2θ 11.16, I 10; 2θ 22.42, I 56; 2θ 39.35, I 82; 2θ 40.04, I 100; 2θ 45.76, I 9; 2θ 57.40, I 34; 2θ 61.91, I 8; 2θ 71.35, I 13; 2θ 71.82, I 34; 2θ 82.08, I 18


Structure and simulated powder X-ray diffraction pattern of Ta3TiPd (DFT lattice parameters and positions (PBE); Cu Kα (λ = 1.5418 Å)).
Intensities are scaled so that the largest is 100.

Crystal structure
Lattice parameters (Å, degrees): 7.294 7.294 7.294 158.42 141.59 44.48
Fractional positions:
Ta 0.000 0.000 0.000
Ta 0.403 0.403 0.000
Ta 0.797 0.297 0.500
Ti 0.200 0.700 0.500
Pd 0.601 0.101 0.500

The 10 most intense peaks (2θ from 10° to 90°), in order of rising 2θ:
2θ 13.11, I 33; 2θ 33.48, I 27; 2θ 37.48, I 53; 2θ 38.24, I 100; 2θ 38.56, I 35; 2θ 40.28, I 71; 2θ 46.79, I 22; 2θ 54.87, I 25; 2θ 68.15, I 29; 2θ 81.49, I 23


Structure and simulated powder X-ray diffraction pattern of TaTiVPd (DFT lattice parameters and positions (PBE); Cu Kα (λ = 1.5418 Å)).
Intensities are scaled so that the largest is 100.

Crystal structure
Lattice parameters (Å, degrees): 4.467 4.467 4.467 60.00 60.00 60.00
Fractional positions:
Ta 0.000 0.000 0.000
Ti 0.500 0.500 0.500
V 0.250 0.250 0.250
Pd 0.750 0.750 0.750

The 10 most intense peaks (2θ from 10° to 90°), in order of rising 2θ:
2θ 24.40, I 34; 2θ 28.25, I 4; 2θ 40.38, I 100; 2θ 47.74, I 18; 2θ 58.43, I 16; 2θ 64.26, I 8; 2θ 66.14, I 2; 2θ 73.42, I 33; 2θ 78.70, I 6; 2θ 87.30, I 11


Structure and simulated powder X-ray diffraction pattern of TaVPd4 (DFT lattice parameters and positions (PBE); Cu Kα (λ = 1.5418 Å)).
Intensities are scaled so that the largest is 100.

Crystal structure
Lattice parameters (Å, degrees): 4.838 4.838 4.772 98.62 98.62 120.83
Fractional positions:
Ta 0.000 0.000 0.000
V 0.500 0.500 0.500
Pd 0.164 0.836 0.500
Pd 0.337 0.663 0.000
Pd 0.663 0.337 0.000
Pd 0.836 0.164 0.500

The 10 most intense peaks (2θ from 10° to 90°), in order of rising 2θ:
2θ 22.21, I 16; 2θ 39.63, I 100; 2θ 39.74, I 99; 2θ 45.64, I 66; 2θ 47.15, I 30; 2θ 66.70, I 11; 2θ 67.72, I 40; 2θ 80.22, I 25; 2θ 80.45, I 24; 2θ 82.58, I 17


Structure and simulated powder X-ray diffraction pattern of TaZn2Pd2 (DFT lattice parameters and positions (PBE); Cu Kα (λ = 1.5418 Å)).
Intensities are scaled so that the largest is 100.

Crystal structure
Lattice parameters (Å, degrees): 7.373 7.373 2.816 90.00 90.00 90.00
Fractional positions:
Ta 0.000 0.000 0.000
Ta 0.500 0.500 0.000
Zn 0.121 0.379 0.000
Zn 0.379 0.879 0.000
Zn 0.621 0.121 0.000
Zn 0.879 0.621 0.000
Pd 0.178 0.678 0.500
Pd 0.322 0.178 0.500
Pd 0.678 0.822 0.500
Pd 0.822 0.322 0.500

The 10 most intense peaks (2θ from 10° to 90°), in order of rising 2θ:
2θ 34.40, I 40; 2θ 36.26, I 22; 2θ 38.62, I 100; 2θ 40.30, I 78; 2θ 42.20, I 85; 2θ 50.84, I 19; 2θ 51.08, I 15; 2θ 62.84, I 22; 2θ 73.64, I 28; 2θ 79.53, I 24


Structure and simulated powder X-ray diffraction pattern of TaZnPd14 (DFT lattice parameters and positions (PBE); Cu Kα (λ = 1.5418 Å)).
Intensities are scaled so that the largest is 100.

Crystal structure
Lattice parameters (Å, degrees): 5.635 5.635 7.739 90.00 90.00 90.00
Fractional positions:
Ta 0.000 0.000 0.000
Zn 0.500 0.500 0.000
Pd 0.000 0.000 0.500
Pd 0.000 0.500 0.000
Pd 0.000 0.500 0.500
Pd 0.248 0.248 0.243
Pd 0.248 0.248 0.757
Pd 0.248 0.752 0.243
Pd 0.248 0.752 0.757
Pd 0.500 0.000 0.000
Pd 0.500 0.000 0.500
Pd 0.500 0.500 0.500
Pd 0.752 0.248 0.243
Pd 0.752 0.248 0.757
Pd 0.752 0.752 0.243
Pd 0.752 0.752 0.757

The 10 most intense peaks (2θ from 10° to 90°), in order of rising 2θ:
2θ 15.73, I 2; 2θ 19.49, I 2; 2θ 39.57, I 100; 2θ 45.53, I 33; 2θ 46.96, I 15; 2θ 66.36, I 11; 2θ 67.48, I 20; 2θ 80.10, I 25; 2θ 82.19, I 11; 2θ 85.21, I 11